For AcTlGa4, a PBE-relaxed structure gives the calculated XRD peak list in this record (Cu Kα (λ = 1.5418 Å)).
Neutral-atom scattering factors, no anomalous dispersion.

The 10 most intense peaks (10° ≤ 2θ ≤ 80°), sorted by position:
(hkl)  Position (°2θ)  I_rel
1 1 1  18.55  19
2 2 0  30.52  68
3 1 1  35.95  100
2 2 2  37.61  13
3 3 1  47.85  5
4 2 2  54.24  28
5 1 1  57.83  34
4 4 0  63.52  25
6 2 0  72.10  12
5 3 3  75.20  12

Atomic structure:
```
data_AcTlGa4
_chemical_formula_sum 'Ac4 Tl4 Ga16'
_cell_length_a 8.285
_cell_length_b 8.285
_cell_length_c 8.285
_cell_angle_alpha 90.00
_cell_angle_beta 90.00
_cell_angle_gamma 90.00
_symmetry_space_group_name_H-M 'F -4 3 m'
_symmetry_Int_Tables_number 216
_symmetry_space_group_name_Hall 'F -4 2 3'
loop_
_atom_site_label
_atom_site_fract_x
_atom_site_fract_y
_atom_site_fract_z
_atom_site_occupancy
Ac1 0.000 0.000 0.000 1
Tl1 0.250 0.250 0.250 1
Ga1 0.125 0.125 0.625 1
```